Structure and calculated powder diffractogram of ZnS (a structure optimized by DFT (PBE); Cu Kα).
Kinematic intensities with the Lorentz-polarization factor, no thermal factor.

Peak list (10 most intense, 5° ≤ 2θ ≤ 70°, low angle first)
(hkl), d [Å], Position (°2θ), I (rel.)
0 1 7, 3.188, 27.98, 65
0 0 24, 3.148, 28.35, 100
1 0 9, 3.101, 28.79, 30
0 1 10, 3.053, 29.25, 20
1 0 17, 2.669, 33.58, 9
0 1 31, 1.969, 46.11, 23
1 1 0, 1.927, 47.17, 90
1 0 33, 1.888, 48.19, 14
0 1 34, 1.850, 49.26, 10
1 1 24, 1.644, 55.95, 60

```
data_ZnS
_symmetry_space_group_name_H-M 'P 3 m 1'
_symmetry_Int_Tables_number 156
_cell_length_a 3.8535
_cell_length_b 3.8535
_cell_length_c 75.5717
_cell_angle_alpha 90.00
_cell_angle_beta 90.00
_cell_angle_gamma 120.00
loop_
_symmetry_equiv_pos_as_xyz
'x,y,z'
'-y,x-y,z'
'-x+y,-x,z'
'-y,-x,z'
'-x+y,y,z'
'x,x-y,z'
loop_
_atom_site_label
_atom_site_fract_x
_atom_site_fract_y
_atom_site_fract_z
Zn1 0.0000 0.0000 0.0000
Zn2 0.0000 0.0000 0.0833
Zn3 0.0000 0.0000 0.2083
Zn4 0.0000 0.0000 0.2917
Zn5 0.0000 0.0000 0.3750
Zn6 0.0000 0.0000 0.5000
Zn7 0.0000 0.0000 0.6250
Zn8 0.0000 0.0000 0.7500
Zn9 0.0000 0.0000 0.8750
Zn10 0.3333 0.6667 0.1250
Zn11 0.3333 0.6667 0.2500
Zn12 0.3333 0.6667 0.4167
Zn13 0.3333 0.6667 0.5417
Zn14 0.3333 0.6667 0.7083
Zn15 0.3333 0.6667 0.8333
Zn16 0.3333 0.6667 0.9583
Zn17 0.6667 0.3333 0.0417
Zn18 0.6667 0.3333 0.1667
Zn19 0.6667 0.3333 0.3333
Zn20 0.6667 0.3333 0.4583
Zn21 0.6667 0.3333 0.5833
Zn22 0.6667 0.3333 0.6667
Zn23 0.6667 0.3333 0.7917
Zn24 0.6667 0.3333 0.9167
S1 0.0000 0.0000 0.0312
S2 0.0000 0.0000 0.1146
S3 0.0000 0.0000 0.2396
S4 0.0000 0.0000 0.3229
S5 0.0000 0.0000 0.4062
S6 0.0000 0.0000 0.5312
S7 0.0000 0.0000 0.6563
S8 0.0000 0.0000 0.7812
S9 0.0000 0.0000 0.9062
S10 0.3333 0.6667 0.1562
S11 0.3333 0.6667 0.2813
S12 0.3333 0.6667 0.4479
S13 0.3333 0.6667 0.5729
S14 0.3333 0.6667 0.7396
S15 0.3333 0.6667 0.8646
S16 0.3333 0.6667 0.9896
S17 0.6667 0.3333 0.0729
S18 0.6667 0.3333 0.1979
S19 0.6667 0.3333 0.3646
S20 0.6667 0.3333 0.4896
S21 0.6667 0.3333 0.6146
S22 0.6667 0.3333 0.6979
S23 0.6667 0.3333 0.8229
S24 0.6667 0.3333 0.9479
```

Structure and calculated powder diffractogram of ZnS (a structure optimized by DFT (PBE); Cu Kα).
Kinematic intensities with the Lorentz-polarization factor, no thermal factor.

Peak list (10 most intense, 5° ≤ 2θ ≤ 70°, low angle first)
(hkl), d [Å], Position (°2θ), I (rel.)
1 0 16, 3.200, 27.88, 81
0 1 17, 3.181, 28.05, 29
0 0 54, 3.139, 28.43, 81
1 0 22, 3.077, 29.02, 44
0 1 23, 3.055, 29.24, 19
1 0 70, 1.964, 46.23, 29
1 1 0, 1.938, 46.89, 100
1 0 76, 1.858, 49.04, 22
0 2 16, 1.657, 55.46, 15
1 1 54, 1.649, 55.75, 66

```
data_ZnS
_symmetry_space_group_name_H-M 'R 3 m'
_symmetry_Int_Tables_number 160
_symmetry_space_group_name_Hall 'R 3 -2"'
_cell_length_a 3.8755
_cell_length_b 3.8755
_cell_length_c 169.5136
_cell_angle_alpha 90.00
_cell_angle_beta 90.00
_cell_angle_gamma 120.00
loop_
_atom_site_label
_atom_site_fract_x
_atom_site_fract_y
_atom_site_fract_z
Zn1 0.0000 0.0000 0.0000
Zn2 0.0000 0.0000 0.0556
Zn3 0.0000 0.0000 0.0926
Zn4 0.0000 0.0000 0.1481
Zn5 0.0000 0.0000 0.1852
Zn6 0.0000 0.0000 0.2407
Zn7 0.0000 0.0000 0.2778
Zn8 0.0000 0.0000 0.3148
Zn9 0.0000 0.0000 0.3704
Zn10 0.0000 0.0000 0.4444
Zn11 0.0000 0.0000 0.5000
Zn12 0.0000 0.0000 0.5556
Zn13 0.0000 0.0000 0.6296
Zn14 0.0000 0.0000 0.6852
Zn15 0.0000 0.0000 0.7407
Zn16 0.0000 0.0000 0.7963
Zn17 0.0000 0.0000 0.8704
Zn18 0.0000 0.0000 0.9259
S1 0.0000 0.0000 0.0139
S2 0.0000 0.0000 0.0694
S3 0.0000 0.0000 0.1065
S4 0.0000 0.0000 0.1620
S5 0.0000 0.0000 0.1991
S6 0.0000 0.0000 0.2546
S7 0.0000 0.0000 0.2916
S8 0.0000 0.0000 0.3287
S9 0.0000 0.0000 0.3842
S10 0.0000 0.0000 0.4583
S11 0.0000 0.0000 0.5139
S12 0.0000 0.0000 0.5694
S13 0.0000 0.0000 0.6435
S14 0.0000 0.0000 0.6991
S15 0.0000 0.0000 0.7546
S16 0.0000 0.0000 0.8102
S17 0.0000 0.0000 0.8842
S18 0.0000 0.0000 0.9398
```

Structure and calculated powder diffractogram of ZnS (a structure optimized by DFT (PBE); Cu Kα).
Kinematic intensities with the Lorentz-polarization factor, no thermal factor.

Peak list (10 most intense, 5° ≤ 2θ ≤ 70°, low angle first)
(hkl), d [Å], Position (°2θ), I (rel.)
1 0 16, 3.198, 27.90, 30
0 1 17, 3.179, 28.07, 56
0 0 54, 3.133, 28.49, 100
0 1 20, 3.118, 28.63, 37
0 1 71, 1.941, 46.80, 21
1 1 0, 1.937, 46.91, 81
1 0 73, 1.905, 47.73, 15
0 1 74, 1.888, 48.21, 17
2 0 17, 1.655, 55.53, 12
1 1 54, 1.647, 55.81, 59

```
data_ZnS
_symmetry_space_group_name_H-M 'R 3 m'
_symmetry_Int_Tables_number 160
_symmetry_space_group_name_Hall 'R 3 -2"'
_cell_length_a 3.8740
_cell_length_b 3.8740
_cell_length_c 168.9813
_cell_angle_alpha 90.00
_cell_angle_beta 90.00
_cell_angle_gamma 120.00
loop_
_atom_site_label
_atom_site_fract_x
_atom_site_fract_y
_atom_site_fract_z
Zn1 0.0000 0.0000 0.0000
Zn2 0.0000 0.0000 0.0370
Zn3 0.0000 0.0000 0.0926
Zn4 0.0000 0.0000 0.1481
Zn5 0.0000 0.0000 0.1852
Zn6 0.0000 0.0000 0.2407
Zn7 0.0000 0.0000 0.2963
Zn8 0.0000 0.0000 0.3519
Zn9 0.0000 0.0000 0.4074
Zn10 0.0000 0.0000 0.4630
Zn11 0.0000 0.0000 0.5370
Zn12 0.0000 0.0000 0.5926
Zn13 0.0000 0.0000 0.6482
Zn14 0.0000 0.0000 0.7222
Zn15 0.0000 0.0000 0.7778
Zn16 0.0000 0.0000 0.8333
Zn17 0.0000 0.0000 0.8889
Zn18 0.0000 0.0000 0.9444
S1 0.0000 0.0000 0.0232
S2 0.0000 0.0000 0.0787
S3 0.0000 0.0000 0.1343
S4 0.0000 0.0000 0.1713
S5 0.0000 0.0000 0.2269
S6 0.0000 0.0000 0.2824
S7 0.0000 0.0000 0.3380
S8 0.0000 0.0000 0.3935
S9 0.0000 0.0000 0.4491
S10 0.0000 0.0000 0.5232
S11 0.0000 0.0000 0.5787
S12 0.0000 0.0000 0.6343
S13 0.0000 0.0000 0.7084
S14 0.0000 0.0000 0.7639
S15 0.0000 0.0000 0.8194
S16 0.0000 0.0000 0.8750
S17 0.0000 0.0000 0.9306
S18 0.0000 0.0000 0.9861
```